For SrPuBiO2, a PBE-relaxed structure gives the calculated XRD peak list in this record (Cu Kα X-rays).
Lines closer than 0.1° are merged.

Crystal structure
Lattice parameters (Å, degrees): 3.957 3.957 14.388 90.00 90.00 90.00
Space group I4mm (No. 107)
Asymmetric unit:
Sr  0.000  0.000  0.000 [2 per cell]
Pu  0.000  0.000  0.332 [2 per cell]
Bi  0.000  0.000  0.671 [2 per cell]
O  0.000  0.500  0.398 [4 per cell]

Peak list (10 most intense, 2θ = 15–90°, low angle first)
2θ 29.26, rel. 100
2θ 31.98, rel. 35
2θ 37.50, rel. 12
2θ 45.86, rel. 17
2θ 50.09, rel. 26
2θ 55.33, rel. 35
2θ 60.68, rel. 12
2θ 62.68, rel. 12
2θ 81.06, rel. 12
2θ 88.03, rel. 11

***

For PuThBiO2, a PBE-relaxed structure gives the calculated XRD peak list in this record (Cu Kα X-rays).
Lines closer than 0.1° are merged.

Crystal structure
Lattice parameters (Å, degrees): 4.038 4.038 13.047 90.00 90.00 90.00
Space group I4mm (No. 107)
Asymmetric unit:
Pu  0.000  0.000  0.000 [2 per cell]
Th  0.000  0.000  0.310 [2 per cell]
Bi  0.000  0.000  0.649 [2 per cell]
O  0.000  0.500  0.398 [4 per cell]

Peak list (10 most intense, 2θ = 15–90°, low angle first)
2θ 30.20, rel. 100
2θ 31.33, rel. 42
2θ 41.53, rel. 9
2θ 44.89, rel. 20
2θ 52.93, rel. 21
2θ 55.06, rel. 39
2θ 62.80, rel. 11
2θ 73.67, rel. 8
2θ 85.99, rel. 9
2θ 88.87, rel. 10

***

For Pu3Tl2BiO12, a PBE-relaxed structure gives the calculated XRD peak list in this record (Cu Kα X-rays).
Lines closer than 0.1° are merged.

Crystal structure
Lattice parameters (Å, degrees): 8.0505 8.0505 19.3195 90.00 90.00 120.00
Space group R-3m (No. 166, hexagonal axes)
Asymmetric unit:
Pu  0.0000  0.5000  0.0000 [9 per cell]
Tl  0.0000  0.0000  0.1788 [6 per cell]
Bi  0.0000  0.0000  0.5000 [3 per cell]
O  0.0528  0.5264  0.0996 [18 per cell]
O  0.0949  0.5474  0.3506 [18 per cell]

Peak list (10 most intense, 2θ = 15–90°, low angle first)
2θ 15.68, rel. 21
2θ 25.97, rel. 36
2θ 26.11, rel. 100
2θ 27.20, rel. 29
2θ 27.70, rel. 33
2θ 31.65, rel. 21
2θ 41.30, rel. 33
2θ 45.04, rel. 33
2θ 48.03, rel. 20
2θ 53.71, rel. 32

***

For TmPuBi2O6, a PBE-relaxed structure gives the calculated XRD peak list in this record (Cu Kα X-rays).
Lines closer than 0.1° are merged.

Crystal structure
Lattice parameters (Å, degrees): 5.842 6.274 10.292 90.00 124.36 90.00
Space group P2_1/c (No. 14)
Asymmetric unit:
Tm  0.000  0.000  0.000 [2 per cell]
Pu  0.500  0.000  0.500 [2 per cell]
Bi  0.264  0.033  0.751 [4 per cell]
O  0.099  0.056  0.244 [4 per cell]
O  0.231  0.688  0.069 [4 per cell]
O  0.391  0.175  0.065 [4 per cell]

Peak list (10 most intense, 2θ = 15–90°, low angle first)
2θ 28.45, rel. 27
2θ 29.64, rel. 100
2θ 30.60, rel. 23
2θ 42.28, rel. 20
2θ 42.56, rel. 11
2θ 51.13, rel. 21
2θ 52.00, rel. 12
2θ 53.72, rel. 12
2θ 53.89, rel. 12
2θ 61.45, rel. 6